Computed XRD peak list
Compound: Tl2VF5
Radiation: Cu Kα X-rays
Structure: a GGA+U-relaxed structure
Neutral-atom scattering factors, no anomalous dispersion.

Main lines, in order of rising 2θ (2θ = 5–70°):
| 2θ (°) | d/Å | intensity |
| --- | --- | --- |
| 16.0 | 5.542 | 29 |
| 26.8 | 3.329 | 50 |
| 27.0 | 3.303 | 100 |
| 28.0 | 3.184 | 90 |
| 28.3 | 3.152 | 45 |
| 34.8 | 2.577 | 21 |
| 39.2 | 2.297 | 21 |
| 39.4 | 2.289 | 37 |
| 46.8 | 1.941 | 36 |
| 48.7 | 1.870 | 24 |
| 49.3 | 1.847 | 40 |
| 50.0 | 1.826 | 22 |

Cell lengths 7.586, 7.586, 7.896 Å; angles 119.27, 119.27, 49.10 degrees
Element x y z (fractional)
Tl: 0.003 0.997 0.500
Tl: 0.669 0.679 0.537
Tl: 0.679 0.669 0.037
Tl: 0.997 0.003 0.000
V: 0.337 0.338 0.519
V: 0.338 0.337 0.019
F: 0.003 0.569 0.403
F: 0.081 0.275 0.894
F: 0.107 0.671 0.135
F: 0.235 0.440 0.769
F: 0.275 0.081 0.394
F: 0.399 0.595 0.644
F: 0.440 0.235 0.269
F: 0.569 0.003 0.903
F: 0.595 0.399 0.144
F: 0.671 0.107 0.635